[1]
For NbO2F5, a structure optimized by DFT (PBE) gives the simulated powder X-ray diffraction pattern in this record (Cu Kα X-rays).
Intensities are scaled so that the largest is 100.

Principal peaks in the range 15 to 90 degrees two-theta, low angle first:
15.59°, I 100, hkl 1 1 0; 21.17°, I 34, hkl 0 2 0; 22.92°, I 34, hkl 1 1 -1; 23.03°, I 22, hkl 2 0 0; 23.37°, I 64, hkl 2 0 -1; 31.48°, I 46, hkl 2 2 0; 31.73°, I 24, hkl 2 2 -1; 44.38°, I 20, hkl 1 1 -2; 46.28°, I 16, hkl 4 2 -1; 49.43°, I 13, hkl 2 4 0

Cell and atoms:
```
data_NbO2F5
_cell_length_a 8.872
_cell_length_b 8.394
_cell_length_c 4.375
_cell_angle_alpha 90.00
_cell_angle_beta 119.45
_cell_angle_gamma 90.00
_space_group_name_H-M_alt 'C 1 m 1'
_space_group_IT_number 8
loop_
_space_group_symop_operation_xyz
'x,y,z'
'x,-y,z'
'x+1/2,y+1/2,z'
'x+1/2,-y+1/2,z'
loop_
_atom_site_label
_atom_site_type_symbol
_atom_site_fract_x
_atom_site_fract_y
_atom_site_fract_z
Nb1 Nb 0.000 0.000 0.000
O1 O 0.001 0.500 0.076
O2 O 0.497 0.000 0.790
F1 F 0.000 0.000 0.437
F2 F 0.169 0.156 0.073
F3 F 0.331 0.345 0.736
```

[2]
For NbO2F, a structure optimized by DFT (PBE) gives the simulated powder X-ray diffraction pattern in this record (Cu Kα X-rays).
Intensities are scaled so that the largest is 100.

Principal peaks in the range 15 to 90 degrees two-theta, low angle first:
22.02°, I 100, hkl 1 1 -1; 22.58°, I 50, hkl 2 0 0; 31.40°, I 9, hkl 2 0 -2; 31.75°, I 37, hkl 1 1 1; 44.92°, I 22, hkl 2 2 -2; 46.09°, I 11, hkl 4 0 0; 50.65°, I 10, hkl 3 1 -3; 50.84°, I 18, hkl 0 2 2; 51.65°, I 18, hkl 3 1 1; 66.32°, I 11, hkl 6 2 -2

Cell and atoms:
```
data_NbO2F
_cell_length_a 9.718
_cell_length_b 5.718
_cell_length_c 5.698
_cell_angle_alpha 90.00
_cell_angle_beta 125.85
_cell_angle_gamma 90.00
_space_group_name_H-M_alt 'C 1 c 1'
_space_group_IT_number 9
loop_
_space_group_symop_operation_xyz
'x,y,z'
'x,-y,z+1/2'
'x+1/2,y+1/2,z'
'x+1/2,-y+1/2,z+1/2'
loop_
_atom_site_label
_atom_site_type_symbol
_atom_site_fract_x
_atom_site_fract_y
_atom_site_fract_z
Nb1 Nb 0.000 0.221 0.000
O1 O 0.019 0.003 0.767
O2 O 0.267 0.257 0.269
F1 F 0.017 0.497 0.271
```

[3]
For Nb3O7F, a structure optimized by DFT (PBE) gives the simulated powder X-ray diffraction pattern in this record (Cu Kα X-rays).
Intensities are scaled so that the largest is 100.

Principal peaks in the range 15 to 90 degrees two-theta, low angle first:
20.14°, I 98, hkl 2 2 0; 23.69°, I 100, hkl 1 0 1; 23.81°, I 46, hkl 4 1 0; 27.67°, I 48, hkl 2 3 0; 28.00°, I 29, hkl 4 2 0; 33.28°, I 49, hkl 3 2 1; 47.03°, I 24, hkl 0 0 2; 48.73°, I 28, hkl 4 5 0; 53.37°, I 30, hkl 7 3 1; 57.44°, I 23, hkl 5 5 1

Cell and atoms:
```
data_Nb3O7F
_cell_length_a 15.979
_cell_length_b 10.572
_cell_length_c 3.865
_cell_angle_alpha 90.00
_cell_angle_beta 90.00
_cell_angle_gamma 90.00
_space_group_name_H-M_alt 'P n m a'
_space_group_IT_number 62
loop_
_space_group_symop_operation_xyz
'x,y,z'
'-x,-y,-z'
'-x+1/2,-y,z+1/2'
'x+1/2,y,-z+1/2'
'x+1/2,-y+1/2,-z+1/2'
'-x+1/2,y+1/2,z+1/2'
'-x,y+1/2,-z'
'x,-y+1/2,z'
loop_
_atom_site_label
_atom_site_type_symbol
_atom_site_fract_x
_atom_site_fract_y
_atom_site_fract_z
Nb1 Nb 0.040 0.250 0.042
Nb2 Nb 0.166 0.554 0.002
O1 O 0.029 0.250 0.515
O2 O 0.062 0.625 0.994
O3 O 0.121 0.112 0.009
O4 O 0.203 0.547 0.504
F1 F 0.212 0.750 0.007
```

[4]
For Nb5O12F, a structure optimized by DFT (PBE) gives the simulated powder X-ray diffraction pattern in this record (Cu Kα X-rays).
Intensities are scaled so that the largest is 100.

Principal peaks in the range 15 to 90 degrees two-theta, low angle first:
23.01°, I 100, hkl 0 1 0; 27.16°, I 42, hkl 0 0 2; 28.28°, I 83, hkl 5 0 1; 35.89°, I 17, hkl 0 1 2; 36.77°, I 37, hkl 5 1 1; 42.50°, I 13, hkl 2 0 3; 47.02°, I 23, hkl 0 2 0; 48.69°, I 16, hkl 5 0 3; 54.51°, I 13, hkl 5 1 3; 55.78°, I 23, hkl 5 2 1

Cell and atoms:
```
data_Nb5O12F
_cell_length_a 17.994
_cell_length_b 3.865
_cell_length_c 6.567
_cell_angle_alpha 90.00
_cell_angle_beta 90.00
_cell_angle_gamma 90.00
_space_group_name_H-M_alt 'P m m a'
_space_group_IT_number 51
loop_
_space_group_symop_operation_xyz
'x,y,z'
'-x,-y,-z'
'-x+1/2,-y,z'
'x+1/2,y,-z'
'x+1/2,-y,-z'
'-x+1/2,y,z'
'-x,y,-z'
'x,-y,z'
loop_
_atom_site_label
_atom_site_type_symbol
_atom_site_fract_x
_atom_site_fract_y
_atom_site_fract_z
Nb1 Nb 0.064 0.000 0.190
Nb2 Nb 0.143 0.000 0.713
Nb3 Nb 0.250 0.000 0.252
O1 O 0.048 0.000 0.881
O2 O 0.059 0.500 0.218
O3 O 0.130 0.500 0.701
O4 O 0.146 0.000 0.407
O5 O 0.171 0.000 0.037
O6 O 0.250 0.000 0.697
O7 O 0.250 0.500 0.301
F1 F 0.000 0.000 0.500
```

[5]
For Nb5OF14, a structure optimized by DFT (PBE) gives the simulated powder X-ray diffraction pattern in this record (Cu Kα X-rays).
Intensities are scaled so that the largest is 100.

Principal peaks in the range 15 to 90 degrees two-theta, low angle first:
21.21°, I 100, hkl 1 1 0; 21.53°, I 48, hkl 1 -1 1; 30.18°, I 17, hkl 1 2 2; 30.41°, I 33, hkl 2 0 1; 43.20°, I 25, hkl 2 2 0; 48.61°, I 20, hkl 2 3 2; 48.76°, I 20, hkl 3 1 1; 49.22°, I 18, hkl 3 -1 2; 53.74°, I 14, hkl 1 4 1; 63.26°, I 13, hkl 4 0 2

Cell and atoms:
```
data_Nb5OF14
_cell_length_a 5.879
_cell_length_b 7.217
_cell_length_c 9.341
_cell_angle_alpha 74.53
_cell_angle_beta 71.90
_cell_angle_gamma 89.28
_space_group_name_H-M_alt 'P -1'
_space_group_IT_number 2
loop_
_space_group_symop_operation_xyz
'x,y,z'
'-x,-y,-z'
loop_
_atom_site_label
_atom_site_type_symbol
_atom_site_fract_x
_atom_site_fract_y
_atom_site_fract_z
Nb1 Nb 0.000 0.000 0.000
Nb2 Nb 0.185 0.815 0.592
Nb3 Nb 0.405 0.595 0.202
O1 O 0.000 0.000 0.500
F1 F 0.101 0.398 0.301
F2 F 0.101 0.899 0.800
F3 F 0.204 0.800 0.101
F4 F 0.296 0.203 0.899
F5 F 0.303 0.698 0.401
F6 F 0.393 0.607 0.698
F7 F 0.500 0.000 0.500
F8 F 0.500 0.500 0.000
```

[6]
For Nb2OF8, a structure optimized by DFT (PBE) gives the simulated powder X-ray diffraction pattern in this record (Cu Kα X-rays).
Intensities are scaled so that the largest is 100.

Principal peaks in the range 15 to 90 degrees two-theta, low angle first:
16.45°, I 40, hkl 0 1 0; 16.91°, I 64, hkl 1 0 2; 19.14°, I 21, hkl 1 1 0; 19.34°, I 100, hkl 1 1 -1; 19.50°, I 48, hkl 2 0 0; 20.69°, I 26, hkl 1 1 1; 23.54°, I 45, hkl 0 0 4; 26.91°, I 23, hkl 2 0 -4; 40.99°, I 19, hkl 1 2 -4; 43.01°, I 28, hkl 4 1 -3

Cell and atoms:
```
data_Nb2OF8
_cell_length_a 9.362
_cell_length_b 5.389
_cell_length_c 15.549
_cell_angle_alpha 90.00
_cell_angle_beta 103.52
_cell_angle_gamma 90.00
_space_group_name_H-M_alt 'P 1 2/c 1'
_space_group_IT_number 13
loop_
_space_group_symop_operation_xyz
'x,y,z'
'-x,-y,-z'
'-x,y,-z+1/2'
'x,-y,z+1/2'
loop_
_atom_site_label
_atom_site_type_symbol
_atom_site_fract_x
_atom_site_fract_y
_atom_site_fract_z
Nb1 Nb 0.051 0.097 0.158
Nb2 Nb 0.410 0.215 0.620
O1 O 0.215 0.045 0.639
F1 F 0.000 0.162 0.750
F2 F 0.043 0.407 0.102
F3 F 0.097 0.066 0.926
F4 F 0.135 0.232 0.281
F5 F 0.313 0.332 0.509
F6 F 0.349 0.479 0.685
F7 F 0.402 0.337 0.879
F8 F 0.449 0.111 0.085
F9 F 0.500 0.081 0.750
```

[7]
For Nb3O7F, a structure optimized by DFT (PBE) gives the simulated powder X-ray diffraction pattern in this record (Cu Kα X-rays).
Intensities are scaled so that the largest is 100.

Principal peaks in the range 15 to 90 degrees two-theta, low angle first:
22.81°, I 100, hkl 0 0 1; 27.19°, I 57, hkl 2 0 0; 28.13°, I 77, hkl 1 3 0; 35.78°, I 25, hkl 2 0 1; 36.52°, I 29, hkl 1 3 1; 46.59°, I 23, hkl 0 0 2; 48.64°, I 25, hkl 3 3 0; 49.43°, I 17, hkl 2 4 1; 54.37°, I 20, hkl 3 3 1; 55.31°, I 21, hkl 1 3 2

Cell and atoms:
```
data_Nb3O7F
_cell_length_a 6.559
_cell_length_b 10.872
_cell_length_c 3.899
_cell_angle_alpha 90.00
_cell_angle_beta 90.00
_cell_angle_gamma 90.00
_space_group_name_H-M_alt 'C m m m'
_space_group_IT_number 65
_space_group_name_Hall '-C 2 2'
loop_
_atom_site_label
_atom_site_type_symbol
_atom_site_fract_x
_atom_site_fract_y
_atom_site_fract_z
Nb1 Nb 0.000 0.000 0.000
Nb2 Nb 0.000 0.302 0.000
O1 O 0.000 0.000 0.500
O2 O 0.000 0.315 0.500
O3 O 0.191 0.146 0.000
F1 F 0.000 0.500 0.000
```

[8]
For Nb3Pb2O8F4, a structure optimized by DFT (PBE) gives the simulated powder X-ray diffraction pattern in this record (Cu Kα X-rays).
Intensities are scaled so that the largest is 100.

Principal peaks in the range 15 to 90 degrees two-theta, low angle first:
24.02°, I 46, hkl 1 0 3; 26.35°, I 100, hkl 1 0 5; 26.93°, I 37, hkl 0 0 10; 29.54°, I 90, hkl 1 0 7; 32.18°, I 59, hkl 1 1 0; 42.44°, I 52, hkl 1 1 10; 46.15°, I 44, hkl 2 0 0; 52.43°, I 39, hkl 1 0 17; 53.92°, I 29, hkl 2 1 5; 55.75°, I 32, hkl 2 1 7

Cell and atoms:
```
data_Nb3Pb2O8F4
_cell_length_a 3.934
_cell_length_b 3.934
_cell_length_c 33.103
_cell_angle_alpha 90.00
_cell_angle_beta 90.00
_cell_angle_gamma 90.00
_space_group_name_H-M_alt 'I 4/m m m'
_space_group_IT_number 139
_space_group_name_Hall '-I 4 2'
loop_
_atom_site_label
_atom_site_type_symbol
_atom_site_fract_x
_atom_site_fract_y
_atom_site_fract_z
Nb1 Nb 0.000 0.000 0.000
Nb2 Nb 0.000 0.000 0.118
Pb1 Pb 0.000 0.000 0.297
O1 O 0.000 0.000 0.062
O2 O 0.000 0.500 0.000
O3 O 0.000 0.500 0.128
F1 F 0.000 0.000 0.186
F2 F 0.000 0.500 0.250
```

Repeat the first record exactly.
For NbO2F5, a structure optimized by DFT (PBE) gives the simulated powder X-ray diffraction pattern in this record (Cu Kα X-rays).
Intensities are scaled so that the largest is 100.

Principal peaks in the range 15 to 90 degrees two-theta, low angle first:
15.59°, I 100, hkl 1 1 0; 21.17°, I 34, hkl 0 2 0; 22.92°, I 34, hkl 1 1 -1; 23.03°, I 22, hkl 2 0 0; 23.37°, I 64, hkl 2 0 -1; 31.48°, I 46, hkl 2 2 0; 31.73°, I 24, hkl 2 2 -1; 44.38°, I 20, hkl 1 1 -2; 46.28°, I 16, hkl 4 2 -1; 49.43°, I 13, hkl 2 4 0

Cell and atoms:
```
data_NbO2F5
_cell_length_a 8.872
_cell_length_b 8.394
_cell_length_c 4.375
_cell_angle_alpha 90.00
_cell_angle_beta 119.45
_cell_angle_gamma 90.00
_space_group_name_H-M_alt 'C 1 m 1'
_space_group_IT_number 8
loop_
_space_group_symop_operation_xyz
'x,y,z'
'x,-y,z'
'x+1/2,y+1/2,z'
'x+1/2,-y+1/2,z'
loop_
_atom_site_label
_atom_site_type_symbol
_atom_site_fract_x
_atom_site_fract_y
_atom_site_fract_z
Nb1 Nb 0.000 0.000 0.000
O1 O 0.001 0.500 0.076
O2 O 0.497 0.000 0.790
F1 F 0.000 0.000 0.437
F2 F 0.169 0.156 0.073
F3 F 0.331 0.345 0.736
```